For V5SbP6O24, a GGA+U-relaxed structure gives the calculated powder XRD pattern in this record (Cu Kα (λ = 1.5418 Å)).
Lines closer than 0.1° are merged.

Largest 10 diffraction maxima, in order of rising 2θ, 5 to 70 degrees two-theta:
2theta	I/Imax	index
20.26	87	1 1 0
20.63	21	1 0 4
23.98	100	1 1 3
31.46	15	2 1 1
32.83	75	2 -1 6
35.46	44	3 0 0
47.02	25	3 -2 8
49.10	30	4 -2 6
55.45	24	4 1 0
62.01	23	5 -1 6

Structure:
a = 8.7682 Å, b = 8.7682 Å, c = 20.9131 Å
α = 90.00°, β = 90.00°, γ = 120.00°
Space group R3 (No. 146, hexagonal axes)
Asymmetric unit:
V  0.0000  0.0000  0.0000
V  0.0000  0.0000  0.1431
V  0.0000  0.0000  0.3541
V  0.0000  0.0000  0.4982
V  0.0000  0.0000  0.6421
Sb  0.0000  0.0000  0.8494
P  0.0005  0.3067  0.7467
P  0.0068  0.7122  0.2509
O  0.0020  0.1702  0.4190
O  0.0064  0.2332  0.8126
O  0.0196  0.8252  0.9321
O  0.0256  0.8253  0.3099
O  0.1411  0.4690  0.3581
O  0.1407  0.6732  0.8567
O  0.1653  0.4946  0.7374
O  0.1682  0.6847  0.2417